# VO2
Calculated PXRD pattern, Cu Ka. Input: a DFT-relaxed cell (GGA+U, the Materials Project).
Peak positions follow from Bragg's law for the DFT cell and can differ from measured ones.

Cell and atoms:
```
18
Lattice="5.283 0.000 0.000 2.437 4.904 0.000 0.095 0.116 8.260" Properties=species:S:1:pos:R:3 pbc="T T T"
V 0.000 0.000 0.000
V 1.325 2.497 2.634
V 4.986 4.897 1.495
V 3.905 2.516 4.125
V 2.828 0.131 6.755
V 6.480 2.522 5.626
O 0.868 0.990 1.370
O 1.014 1.195 6.853
O 2.153 3.417 4.182
O 2.942 1.505 2.707
O 4.291 4.116 8.190
O 3.109 1.427 5.485
O 4.697 3.594 2.768
O 3.521 0.910 0.066
O 4.864 3.516 5.552
O 5.652 1.603 4.077
O 6.793 3.828 1.408
O 6.940 4.031 6.889
```

Top 10 peaks for 2θ = 5–70°, in order of falling intensity:
2theta  I (rel.)
20.94  100
21.20  91
38.04  62
29.40  53
46.43  46
28.90  46
47.32  39
19.43  32
50.99  25
57.56  14



# V6O13
Calculated PXRD pattern, Cu Ka. Input: a DFT-relaxed cell (GGA+U, the Materials Project).
Peak positions follow from Bragg's law for the DFT cell and can differ from measured ones.

Cell and atoms:
```
19
Lattice="6.033 -1.897 0.000 6.033 1.897 0.000 -1.931 0.000 10.084" Properties=species:S:1:pos:R:3 pbc="T T T"
V 0.793 0.000 1.369
V 0.848 0.000 5.076
V 0.919 0.000 8.736
V 9.215 0.000 1.349
V 9.285 0.000 5.008
V 9.340 0.000 8.716
O -0.966 0.000 5.042
O -1.028 0.000 9.192
O 0.771 0.000 3.043
O 0.763 0.000 7.046
O 2.806 0.000 0.903
O 2.805 0.000 5.040
O 2.890 0.000 8.916
O 7.244 0.000 1.168
O 7.328 0.000 5.044
O 7.328 0.000 9.181
O 9.371 0.000 3.038
O 9.363 0.000 7.041
O 11.162 0.000 0.892
```

Top 10 peaks for 2θ = 5–70°, in order of falling intensity:
2theta  I (rel.)
24.64  100
26.52  70
32.76  41
14.95  40
47.96  37
29.79  33
45.09  30
44.95  29
17.59  28
58.86  23



# VO2
Calculated PXRD pattern, Cu Ka. Input: a DFT-relaxed cell (GGA+U, the Materials Project).
Peak positions follow from Bragg's law for the DFT cell and can differ from measured ones.

Cell and atoms:
```
12
Lattice="5.957 0.000 0.000 0.000 3.778 0.000 0.000 0.000 8.645" Properties=species:S:1:pos:R:3 pbc="T T T"
V 0.239 0.944 1.163
V 2.739 2.833 5.485
V 3.217 0.944 3.160
V 5.717 2.833 7.482
O 0.447 2.833 0.632
O 0.978 2.833 6.280
O 2.000 0.944 1.957
O 2.531 0.944 4.955
O 3.425 2.833 3.691
O 3.957 2.833 6.688
O 4.978 0.944 2.366
O 5.510 0.944 8.013
```

Top 10 peaks for 2θ = 5–70°, in order of falling intensity:
2theta  I (rel.)
18.09  100
25.73  45
34.96  20
30.00  14
25.46  11
48.17  11
34.58  10
51.87  9
43.71  7
52.30  6



# V2O5
Calculated PXRD pattern, Cu Ka. Input: a DFT-relaxed cell (GGA+U, the Materials Project).
Peak positions follow from Bragg's law for the DFT cell and can differ from measured ones.

Cell and atoms:
```
28
Lattice="9.689 0.000 0.000 0.000 11.578 0.000 0.000 0.000 3.617" Properties=species:S:1:pos:R:3 pbc="T T T"
V 1.945 1.191 0.562
V 1.945 4.598 0.562
V 2.899 6.981 2.370
V 2.899 10.387 2.370
V 6.789 1.191 1.247
V 6.789 4.598 1.247
V 7.744 6.981 3.055
V 7.744 10.387 3.055
O 0.347 1.338 0.577
O 0.347 4.452 0.577
O 2.278 8.684 2.347
O 2.408 0.789 2.369
O 2.408 5.000 2.369
O 2.437 6.578 0.560
O 2.437 10.789 0.560
O 2.567 2.895 0.538
O 4.497 7.127 2.385
O 4.497 10.241 2.385
O 5.192 1.338 1.231
O 5.192 4.452 1.231
O 7.122 8.684 3.078
O 7.252 0.789 3.056
O 7.252 5.000 3.056
O 7.281 6.578 1.248
O 7.281 10.789 1.248
O 7.411 2.895 1.270
O 9.341 7.127 3.040
O 9.341 10.241 3.040
```

Top 10 peaks for 2θ = 5–70°, in order of falling intensity:
2theta  I (rel.)
18.31  100
30.88  44
25.81  41
19.87  28
29.59  27
15.31  20
44.18  20
51.40  20
27.43  19
37.12  15



# V3O7
Calculated PXRD pattern, Cu Ka. Input: a DFT-relaxed cell (GGA+U, the Materials Project).
Peak positions follow from Bragg's law for the DFT cell and can differ from measured ones.

Cell and atoms:
```
60
Lattice="11.269 -1.844 0.000 11.269 1.844 0.000 -1.700 0.000 18.592" Properties=species:S:1:pos:R:3 pbc="T T T"
V 5.931 1.077 10.404
V 6.778 0.930 6.966
V 6.367 0.918 13.872
V 9.994 1.053 13.944
V 9.629 0.916 10.319
V 10.359 0.916 17.569
V 14.057 1.077 17.485
V 13.620 0.918 14.016
V 14.909 0.930 2.330
V 5.928 -0.930 16.262
V 7.217 -0.918 4.576
V 6.781 -1.077 1.108
V 10.479 -0.916 1.023
V 11.209 -0.916 8.273
V 10.844 -1.053 4.648
V 14.470 -0.918 4.720
V 14.059 -0.930 11.626
V 14.907 -1.077 8.188
O 5.688 0.918 8.384
O 5.570 0.926 12.367
O 5.677 0.914 15.712
O 6.777 0.853 1.090
O 6.905 0.922 4.980
O 7.934 0.938 10.448
O 8.263 0.925 7.545
O 8.005 0.915 13.647
O 10.721 0.918 0.469
O 9.758 0.929 15.980
O 10.229 0.929 11.908
O 10.844 0.888 4.648
O 10.966 0.918 8.827
O 11.982 0.915 14.241
O 12.053 0.938 17.440
O 13.424 0.925 1.751
O 14.782 0.922 4.316
O 14.311 0.914 12.177
O 14.417 0.926 15.522
O 14.910 0.853 8.206
O 15.999 0.918 0.912
O 4.838 -0.918 17.680
O 5.927 -0.853 10.386
O 6.420 -0.926 3.071
O 6.527 -0.914 6.416
O 6.055 -0.922 14.276
O 7.413 -0.925 16.841
O 8.784 -0.938 1.152
O 8.855 -0.915 4.351
O 9.871 -0.918 9.765
O 9.994 -0.888 13.944
O 10.608 -0.929 6.684
O 11.079 -0.929 2.612
O 10.116 -0.918 18.123
O 12.832 -0.915 4.945
O 12.574 -0.925 11.048
O 12.903 -0.938 8.144
O 13.933 -0.922 13.612
O 14.061 -0.853 17.502
O 15.161 -0.914 2.881
O 15.267 -0.926 6.226
O 15.149 -0.918 10.208
```

Top 10 peaks for 2θ = 5–70°, in order of falling intensity:
2theta  I (rel.)
24.86  100
23.78  66
49.44  26
21.35  23
28.81  23
19.21  20
29.20  18
34.75  17
48.99  13
32.05  12



# VO2
Calculated PXRD pattern, Cu Ka. Input: a DFT-relaxed cell (GGA+U, the Materials Project).
Peak positions follow from Bragg's law for the DFT cell and can differ from measured ones.

Cell and atoms:
```
6
Lattice="2.969 0.000 0.000 -1.484 2.571 0.000 0.000 0.000 10.381" Properties=species:S:1:pos:R:3 pbc="T T T"
V 0.000 0.000 0.000
V 0.000 0.000 5.190
O 0.000 1.714 0.947
O 0.000 1.714 4.243
O 1.484 0.857 6.137
O 1.484 0.857 9.433
```

Top 10 peaks for 2θ = 5–70°, in order of falling intensity:
2theta  I (rel.)
17.08  100
39.10  30
49.93  26
34.90  12
64.97  12
65.39  11
62.58  10
43.87  8
35.99  5
34.56  3